Record 1
Starting from a crystal structure in Alexandria, relaxed with GGA-PBE, the powder XRD pattern of Tb3MnTl3Se8 was computed for Cu Kα (λ = 1.5418 Å).
Neutral-atom scattering factors, no anomalous dispersion.

Atomic structure:
```
data_Tb3MnTl3Se8
_cell_length_a 9.152
_cell_length_b 9.152
_cell_length_c 9.152
_cell_angle_alpha 52.90
_cell_angle_beta 52.90
_cell_angle_gamma 52.90
_space_group_name_H-M_alt 'P 1'
_space_group_IT_number 1
loop_
_space_group_symop_operation_xyz
'x,y,z'
loop_
_atom_site_label
_atom_site_type_symbol
_atom_site_fract_x
_atom_site_fract_y
_atom_site_fract_z
Tb1 Tb 0.000 0.500 0.500
Tb2 Tb 0.500 0.000 0.500
Tb3 Tb 0.500 0.500 0.000
Mn1 Mn 0.000 0.000 0.000
Tl1 Tl 0.000 0.000 0.500
Tl2 Tl 0.000 0.500 0.000
Tl3 Tl 0.500 0.000 0.000
Se1 Se 0.214 0.214 0.763
Se2 Se 0.214 0.763 0.214
Se3 Se 0.237 0.786 0.786
Se4 Se 0.264 0.264 0.264
Se5 Se 0.736 0.736 0.736
Se6 Se 0.763 0.214 0.214
Se7 Se 0.786 0.237 0.786
Se8 Se 0.786 0.786 0.237
```

Main lines, low angle first (10 to 90 degrees two-theta):
| Position (°2θ) | I (rel.) |
| --- | --- |
| 14.6 | 147 |
| 26.4 | 127 |
| 29.5 | 1000 |
| 31.7 | 114 |
| 39.9 | 351 |
| 44.4 | 336 |
| 46.3 | 134 |
| 54.2 | 170 |
| 66.1 | 138 |
| 72.7 | 137 |


Record 2
Starting from a crystal structure in Alexandria, relaxed with GGA-PBE, the powder XRD pattern of Tb8Pr3Nd3 was computed for Cu Kα (λ = 1.5418 Å).
Neutral-atom scattering factors, no anomalous dispersion.

Atomic structure:
```
data_Tb8Pr3Nd3
_cell_length_a 9.824
_cell_length_b 9.824
_cell_length_c 5.739
_cell_angle_alpha 106.95
_cell_angle_beta 106.95
_cell_angle_gamma 102.51
_space_group_name_H-M_alt 'P 1'
_space_group_IT_number 1
loop_
_space_group_symop_operation_xyz
'x,y,z'
loop_
_atom_site_label
_atom_site_type_symbol
_atom_site_fract_x
_atom_site_fract_y
_atom_site_fract_z
Tb1 Tb 0.058 0.263 0.160
Tb2 Tb 0.059 0.618 0.339
Tb3 Tb 0.263 0.058 0.160
Tb4 Tb 0.382 0.941 0.661
Tb5 Tb 0.618 0.059 0.339
Tb6 Tb 0.737 0.942 0.840
Tb7 Tb 0.941 0.382 0.661
Tb8 Tb 0.942 0.737 0.840
Pr1 Pr 0.314 0.686 0.000
Pr2 Pr 0.500 0.500 0.500
Pr3 Pr 0.686 0.314 0.000
Nd1 Nd 0.000 0.000 0.500
Nd2 Nd 0.302 0.302 0.801
Nd3 Nd 0.698 0.698 0.199
```

Main lines, low angle first (10 to 90 degrees two-theta):
| Position (°2θ) | I (rel.) |
| --- | --- |
| 29.2 | 312 |
| 30.2 | 328 |
| 31.2 | 524 |
| 31.4 | 1000 |
| 33.1 | 563 |
| 44.0 | 236 |
| 55.6 | 199 |
| 56.7 | 213 |
| 60.4 | 172 |
| 61.6 | 145 |


Record 3
Starting from a crystal structure in Alexandria, relaxed with GGA-PBE, the powder XRD pattern of TbDy12Er7 was computed for Cu Kα (λ = 1.5418 Å).
Neutral-atom scattering factors, no anomalous dispersion.

Atomic structure:
```
data_TbDy12Er7
_cell_length_a 8.622
_cell_length_b 8.622
_cell_length_c 8.622
_cell_angle_alpha 95.03
_cell_angle_beta 95.03
_cell_angle_gamma 95.03
_space_group_name_H-M_alt 'P 1'
_space_group_IT_number 1
loop_
_space_group_symop_operation_xyz
'x,y,z'
loop_
_atom_site_label
_atom_site_type_symbol
_atom_site_fract_x
_atom_site_fract_y
_atom_site_fract_z
Tb1 Tb 0.000 0.000 0.000
Dy1 Dy 0.147 0.415 0.477
Dy2 Dy 0.187 0.750 0.315
Dy3 Dy 0.250 0.685 0.813
Dy4 Dy 0.315 0.187 0.750
Dy5 Dy 0.415 0.477 0.147
Dy6 Dy 0.477 0.147 0.415
Dy7 Dy 0.523 0.853 0.585
Dy8 Dy 0.585 0.523 0.853
Dy9 Dy 0.685 0.813 0.250
Dy10 Dy 0.750 0.315 0.187
Dy11 Dy 0.813 0.250 0.685
Dy12 Dy 0.853 0.585 0.523
Er1 Er 0.019 0.082 0.351
Er2 Er 0.082 0.351 0.019
Er3 Er 0.351 0.019 0.082
Er4 Er 0.500 0.500 0.500
Er5 Er 0.649 0.981 0.918
Er6 Er 0.918 0.649 0.981
Er7 Er 0.981 0.918 0.649
```

Main lines, low angle first (10 to 90 degrees two-theta):
| Position (°2θ) | I (rel.) |
| --- | --- |
| 24.2 | 141 |
| 27.5 | 193 |
| 30.0 | 606 |
| 31.0 | 422 |
| 32.1 | 1000 |
| 39.7 | 318 |
| 42.6 | 241 |
| 51.8 | 143 |
| 56.0 | 144 |
| 59.8 | 141 |


Record 4
Starting from a crystal structure in Alexandria, relaxed with GGA-PBE, the powder XRD pattern of Pm2Nd6DyTm was computed for Cu Kα (λ = 1.5418 Å).
Neutral-atom scattering factors, no anomalous dispersion.

Atomic structure:
```
data_Pm2Nd6DyTm
_cell_length_a 8.990
_cell_length_b 8.990
_cell_length_c 9.777
_cell_angle_alpha 94.12
_cell_angle_beta 94.12
_cell_angle_gamma 118.11
_space_group_name_H-M_alt 'P 1'
_space_group_IT_number 1
loop_
_space_group_symop_operation_xyz
'x,y,z'
loop_
_atom_site_label
_atom_site_type_symbol
_atom_site_fract_x
_atom_site_fract_y
_atom_site_fract_z
Pm1 Pm 0.198 0.298 0.043
Pm2 Pm 0.298 0.198 0.543
Pm3 Pm 0.702 0.802 0.457
Pm4 Pm 0.802 0.702 0.957
Nd1 Nd 0.013 0.571 0.190
Nd2 Nd 0.122 0.757 0.554
Nd3 Nd 0.243 0.878 0.946
Nd4 Nd 0.291 0.503 0.382
Nd5 Nd 0.429 0.987 0.310
Nd6 Nd 0.497 0.709 0.118
Nd7 Nd 0.503 0.291 0.882
Nd8 Nd 0.571 0.013 0.690
Nd9 Nd 0.709 0.497 0.618
Nd10 Nd 0.757 0.122 0.054
Nd11 Nd 0.878 0.243 0.446
Nd12 Nd 0.987 0.429 0.810
Dy1 Dy 0.022 0.978 0.250
Dy2 Dy 0.978 0.022 0.750
Tm1 Tm 0.410 0.590 0.750
Tm2 Tm 0.590 0.410 0.250
```

Main lines, low angle first (10 to 90 degrees two-theta):
| Position (°2θ) | I (rel.) |
| --- | --- |
| 27.4 | 200 |
| 28.0 | 380 |
| 30.0 | 980 |
| 30.6 | 451 |
| 30.9 | 1000 |
| 31.6 | 187 |
| 33.1 | 419 |
| 33.7 | 145 |
| 52.9 | 119 |
| 59.4 | 168 |